The following is a calculated powder diffractogram of KMnIO6. It was derived from a DFT-relaxed cell (PBE+U, the Materials Project), using Cu Ka.
Lines closer than 0.1° are merged.

Atomic structure:
```
data_KMnIO6
_space_group_name_H-M_alt 'P 3 1 2'
_space_group_IT_number 149
_space_group_name_Hall 'P 3 2'
_cell_length_a 5.1280
_cell_length_b 5.1280
_cell_length_c 6.1283
_cell_angle_alpha 90.00
_cell_angle_beta 90.00
_cell_angle_gamma 120.00
loop_
_atom_site_label
_atom_site_fract_x
_atom_site_fract_y
_atom_site_fract_z
K1 0.0000 0.0000 0.0000
Mn1 0.6667 0.3333 0.5000
I1 0.3333 0.6667 0.5000
O1 0.0046 0.3840 0.3235
```

Top 10 peaks for 2θ = 15–90°, most intense first:
(hkl)	two_theta	d [Å]	I (rel.)
1 0 1	24.8	3.596	100
1 1 2	46.2	1.966	49
1 0 0	20.0	4.441	29
1 1 0	35.0	2.564	27
1 1 1	38.0	2.365	26
2 1 1	56.9	1.619	17
2 0 1	43.3	2.088	15
2 -1 3	57.7	1.598	13
0 0 2	29.1	3.064	12
3 0 0	62.8	1.480	11

=====

The following is a calculated powder diffractogram of KMoIO6. It was derived from a DFT-relaxed cell (PBE+U, the Materials Project), using Cu Ka.
Lines closer than 0.1° are merged.

Atomic structure:
```
data_KMoIO6
_space_group_name_H-M_alt 'P 1 21/c 1'
_space_group_IT_number 14
_space_group_name_Hall '-P 2ybc'
_cell_length_a 7.720
_cell_length_b 7.565
_cell_length_c 10.943
_cell_angle_alpha 90.00
_cell_angle_beta 111.76
_cell_angle_gamma 90.00
loop_
_atom_site_label
_atom_site_fract_x
_atom_site_fract_y
_atom_site_fract_z
K1 0.081 0.229 0.423
Mo1 0.490 0.501 0.222
I1 0.312 0.675 0.456
O1 0.073 0.713 0.353
O2 0.271 0.547 0.589
O3 0.272 0.566 0.100
O4 0.352 0.029 0.869
O5 0.354 0.051 0.356
O6 0.476 0.244 0.698
```

Top 10 peaks for 2θ = 15–90°, most intense first:
(hkl)	two_theta	d [Å]	I (rel.)
0 2 2	29.5	3.032	100
1 1 0	17.0	5.204	99
2 1 -2	27.3	3.272	95
1 2 0	26.6	3.349	94
1 2 -2	29.3	3.047	65
2 0 -2	24.5	3.632	62
1 0 2	25.0	3.568	59
1 1 2	27.6	3.227	53
2 0 2	35.6	2.522	51
1 0 -4	32.7	2.735	44

=====

The following is a calculated powder diffractogram of K2MoI4O14. It was derived from a DFT-relaxed cell (PBE+U, the Materials Project), using Cu Ka.
Lines closer than 0.1° are merged.

Atomic structure:
```
data_K2MoI4O14
_space_group_name_H-M_alt 'C 1 2/c 1'
_space_group_IT_number 15
_space_group_name_Hall '-C 2yc'
_cell_length_a 13.141
_cell_length_b 6.339
_cell_length_c 17.819
_cell_angle_alpha 90.00
_cell_angle_beta 101.83
_cell_angle_gamma 90.00
loop_
_atom_site_label
_atom_site_fract_x
_atom_site_fract_y
_atom_site_fract_z
K1 0.181 0.002 0.462
Mo1 0.000 0.110 0.750
I1 0.036 0.417 0.590
I2 0.211 0.484 0.320
O1 0.020 0.179 0.860
O2 0.051 0.324 0.000
O3 0.107 0.060 0.260
O4 0.109 0.389 0.745
O5 0.135 0.401 0.390
O6 0.154 0.282 0.580
O7 0.225 0.214 0.131
```

Top 10 peaks for 2θ = 15–90°, most intense first:
(hkl)	two_theta	d [Å]	I (rel.)
3 1 -2	25.4	3.503	100
1 1 4	26.9	3.318	83
1 1 2	19.4	4.577	36
2 0 -6	31.1	2.880	32
1 1 0	15.6	5.686	29
1 1 1	16.8	5.267	28
5 1 -8	51.1	1.786	20
0 2 0	28.2	3.170	19
2 2 -6	42.4	2.131	18
4 0 2	31.6	2.834	15

=====

The following is a calculated powder diffractogram of KNiIO6. It was derived from a DFT-relaxed cell (PBE+U, the Materials Project), using Cu Ka.
Lines closer than 0.1° are merged.

Atomic structure:
```
data_KNiIO6
_space_group_name_H-M_alt 'P 3 1 2'
_space_group_IT_number 149
_space_group_name_Hall 'P 3 2'
_cell_length_a 5.0211
_cell_length_b 5.0211
_cell_length_c 6.1173
_cell_angle_alpha 90.00
_cell_angle_beta 90.00
_cell_angle_gamma 120.00
loop_
_atom_site_label
_atom_site_fract_x
_atom_site_fract_y
_atom_site_fract_z
K1 0.0000 0.0000 0.0000
Ni1 0.3333 0.6667 0.5000
I1 0.6667 0.3333 0.5000
O1 0.0024 0.3788 0.6750
```

Top 10 peaks for 2θ = 15–90°, most intense first:
(hkl)	two_theta	d [Å]	I (rel.)
1 0 1	25.1	3.544	100
2 -1 2	46.8	1.941	52
2 -1 1	38.8	2.323	29
1 1 0	35.8	2.511	28
1 0 0	20.4	4.348	26
3 -1 1	58.1	1.587	17
3 0 0	64.3	1.449	16
2 0 1	44.2	2.049	16
1 1 3	58.3	1.583	14
0 0 2	29.2	3.059	14

=====

The following is a calculated powder diffractogram of LaMoI4O15. It was derived from a DFT-relaxed cell (PBE+U, the Materials Project), using Cu Ka.
Lines closer than 0.1° are merged.

Atomic structure:
```
data_LaMoI4O15
_space_group_name_H-M_alt 'P 1 21 1'
_space_group_IT_number 4
_space_group_name_Hall 'P 2yb'
_cell_length_a 7.144
_cell_length_b 14.380
_cell_length_c 7.244
_cell_angle_alpha 90.00
_cell_angle_beta 114.95
_cell_angle_gamma 90.00
loop_
_atom_site_label
_atom_site_fract_x
_atom_site_fract_y
_atom_site_fract_z
La1 0.072 0.000 0.413
Mo1 0.407 0.663 0.206
I1 0.156 0.128 0.952
I2 0.236 0.751 0.688
I3 0.244 0.405 0.150
I4 0.473 0.903 0.234
O1 0.039 0.396 0.893
O2 0.046 0.658 0.590
O3 0.069 0.850 0.581
O4 0.095 0.031 0.774
O5 0.229 0.570 0.048
O6 0.235 0.062 0.187
O7 0.235 0.756 0.947
O8 0.253 0.282 0.227
O9 0.258 0.704 0.330
O10 0.292 0.471 0.650
O11 0.395 0.909 0.446
O12 0.397 0.094 0.614
O13 0.408 0.285 0.709
O14 0.427 0.153 0.995
O15 0.479 0.397 0.105
```

Top 10 peaks for 2θ = 15–90°, most intense first:
(hkl)	two_theta	d [Å]	I (rel.)
2 1 -1	25.8	3.457	100
1 0 -2	24.7	3.603	79
0 4 1	28.3	3.155	74
1 3 0	23.1	3.853	72
1 1 1	23.8	3.735	64
0 3 1	23.0	3.871	60
1 1 -2	25.5	3.498	47
0 1 2	27.9	3.201	43
1 4 -1	28.9	3.093	40
1 0 -4	51.3	1.780	35